Diffraction record for Nd4Bi3N. The PXRD pattern is calculated, not measured: it uses a PBE-relaxed structure and a wavelength of 1.5418 Å.
Peak positions follow from Bragg's law for the DFT cell and can differ from measured ones.

Crystal structure
Cell: 10.1025 8.8892 6.5013 Å, 90.00 90.00 90.00°
Sites, in units of the cell vectors:
Nd  0.0000  0.0909  0.0000
Nd  0.0000  0.8183  0.5631
Nd  0.2058  0.6963  0.0007
Nd  0.2942  0.3037  0.5007
Nd  0.5000  0.1817  0.0631
Nd  0.5000  0.9091  0.5000
Nd  0.7058  0.3037  0.5007
Nd  0.7942  0.6963  0.0007
Bi  0.0000  0.1616  0.4891
Bi  0.2299  0.3385  0.9892
Bi  0.2701  0.6615  0.4892
Bi  0.5000  0.8384  0.9891
Bi  0.7299  0.6615  0.4892
Bi  0.7701  0.3385  0.9892
N  0.0000  0.8217  0.9222
N  0.5000  0.1783  0.4222

Top 10 peaks for 10° ≤ 2θ ≤ 80°, in order of rising 2θ:
2θ = 19.98°, intensity 44, (0 2 0); 2θ = 20.22°, intensity 100, (2 1 0); 2θ = 27.44°, intensity 92, (0 0 2); 2θ = 29.88°, intensity 33, (3 0 1); 2θ = 34.32°, intensity 50, (2 1 2); 2θ = 35.11°, intensity 71, (2 3 0); 2θ = 35.55°, intensity 35, (4 0 0); 2θ = 36.21°, intensity 29, (3 2 1); 2θ = 45.13°, intensity 63, (2 3 2); 2θ = 45.48°, intensity 32, (4 0 2)